Calculated powder X-ray diffraction pattern of Ce6PuCd2 for CuKα, from DFT lattice parameters and positions (PBE).
Intensities are scaled so that the largest is 100.

Cell: 10.0155 10.0155 10.0155 Å, 90.00 90.00 90.00°
Space group Fm-3m (No. 225)
Symmetry-distinct sites (fractional):
Ce1 0.0000 0.0000 0.2446
Pu1 0.0000 0.0000 0.0000
Cd1 0.2500 0.2500 0.2500

The 10 most intense peaks (10° ≤ 2θ ≤ 90°), sorted by position:
2θ/deg  I_rel
15.32  42.2
17.71  26.7
29.58  19.7
30.93  81.6
35.86  100.0
40.27  13.8
51.62  70.2
61.40  32.7
64.45  23.8
87.02  31.8